No. 1
Starting from a structure optimized by DFT (GGA-PBE), the X-ray powder pattern of Mn4OsCl was computed for Cu Kα X-rays.
Peak positions follow from Bragg's law for the DFT cell and can differ from measured ones.

Cell and atoms:
```
data_Mn4OsCl
_space_group_name_H-M_alt 'F -4 3 m'
_space_group_IT_number 216
_space_group_name_Hall 'F -4 2 3'
_cell_length_a 6.8145
_cell_length_b 6.8145
_cell_length_c 6.8145
_cell_angle_alpha 90.00
_cell_angle_beta 90.00
_cell_angle_gamma 90.00
loop_
_atom_site_label
_atom_site_type_symbol
_atom_site_fract_x
_atom_site_fract_y
_atom_site_fract_z
Mn1 Mn 0.1254 0.1254 0.1254
Os1 Os 0.0000 0.0000 0.5000
Cl1 Cl 0.2500 0.2500 0.7500
```

Main lines, low angle first (2θ = 15–90°):
22.6°, I 30, hkl 1 1 1
26.2°, I 26, hkl 2 0 0
37.3°, I 47, hkl 2 2 0
44.1°, I 100, hkl 3 1 1
46.1°, I 25, hkl 2 2 2
59.1°, I 7, hkl 3 3 1
60.8°, I 12, hkl 4 2 0
67.3°, I 17, hkl 4 2 2
72.0°, I 30, hkl 3 3 3
79.6°, I 19, hkl 4 4 0


No. 2
Starting from a structure optimized by DFT (GGA-PBE), the X-ray powder pattern of MnTcPPdCl was computed for Cu Kα X-rays.
Peak positions follow from Bragg's law for the DFT cell and can differ from measured ones.

Cell and atoms:
```
data_MnTcPPdCl
_space_group_name_H-M_alt 'P 3 m 1'
_space_group_IT_number 156
_space_group_name_Hall 'P 3 -2"'
_cell_length_a 3.7890
_cell_length_b 3.7890
_cell_length_c 7.1828
_cell_angle_alpha 90.00
_cell_angle_beta 90.00
_cell_angle_gamma 120.00
loop_
_atom_site_label
_atom_site_type_symbol
_atom_site_fract_x
_atom_site_fract_y
_atom_site_fract_z
Mn1 Mn 0.0000 0.0000 0.0000
Tc1 Tc 0.3333 0.6667 0.7591
P1 P 0.6667 0.3333 0.8644
Pd1 Pd 0.6667 0.3333 0.1975
Cl1 Cl 0.3333 0.6667 0.4245
```

Main lines, low angle first (2θ = 15–90°):
24.8°, I 13, hkl 0 0 2
27.2°, I 16, hkl 1 0 0
29.9°, I 100, hkl 1 0 1
37.1°, I 50, hkl 1 0 2
47.0°, I 58, hkl 0 1 3
48.0°, I 53, hkl 1 1 0
57.6°, I 15, hkl 0 2 1
69.4°, I 17, hkl 2 0 3
78.2°, I 12, hkl 2 1 1
88.9°, I 18, hkl 1 2 3


No. 3
Starting from a structure optimized by DFT (GGA-PBE), the X-ray powder pattern of MnTcPPdCl was computed for Cu Kα X-rays.
Peak positions follow from Bragg's law for the DFT cell and can differ from measured ones.

Cell and atoms:
```
data_MnTcPPdCl
_space_group_name_H-M_alt 'P 1'
_space_group_IT_number 1
_space_group_name_Hall 'P 1'
_cell_length_a 3.0173
_cell_length_b 3.4311
_cell_length_c 8.5065
_cell_angle_alpha 78.61
_cell_angle_beta 83.58
_cell_angle_gamma 72.79
loop_
_atom_site_label
_atom_site_type_symbol
_atom_site_fract_x
_atom_site_fract_y
_atom_site_fract_z
Mn1 Mn 0.0000 0.0000 0.0000
Tc1 Tc 0.5855 0.4617 0.1509
P1 P 0.6687 0.6907 0.8535
Pd1 Pd 0.0372 0.1751 0.6817
Cl1 Cl 0.0529 0.3511 0.3836
```

Main lines, low angle first (2θ = 15–90°):
21.3°, I 69, hkl 0 0 2
27.6°, I 39, hkl 0 1 0
27.9°, I 95, hkl 0 1 1
32.3°, I 82, hkl 1 0 1
35.1°, I 48, hkl 1 1 1
35.5°, I 63, hkl 1 1 0
44.0°, I 61, hkl 1 0 3
45.3°, I 40, hkl 1 1 -2
46.7°, I 100, hkl 0 1 -3
47.7°, I 45, hkl 0 1 4